Ac2CdSn2: calculated XRD peak list (Cu Kα, 1.54184 Å), based on a crystal structure in Alexandria, relaxed with PBE.
Neutral-atom scattering factors, no anomalous dispersion.

The 10 most intense peaks (2θ from 5° to 70°), most intense first:
| Position (°2θ) | d/Å | I_rel | (hkl) |
| --- | --- | --- | --- |
| 30.43 | 2.937 | 100 | 2 1 2 |
| 28.36 | 3.147 | 35 | 2 0 2 |
| 34.70 | 2.585 | 28 | 3 1 0 |
| 36.43 | 2.466 | 21 | 0 0 4 |
| 51.19 | 1.784 | 19 | 3 1 4 |
| 49.55 | 1.840 | 17 | 4 1 2 |
| 61.88 | 1.499 | 14 | 2 1 6 |
| 60.73 | 1.525 | 12 | 2 0 6 |
| 45.76 | 1.983 | 10 | 4 1 0 |
| 64.19 | 1.451 | 9 | 5 2 2 |

```
data_Ac2CdSn2
_chemical_formula_sum 'Ac8 Cd4 Sn8'
_cell_length_a 8.1753
_cell_length_b 8.1753
_cell_length_c 9.8646
_cell_angle_alpha 90.00
_cell_angle_beta 90.00
_cell_angle_gamma 90.00
_symmetry_space_group_name_H-M 'P 1'
_symmetry_Int_Tables_number 1
loop_
_symmetry_equiv_pos_as_xyz
'x,y,z'
loop_
_atom_site_label
_atom_site_type_symbol
_atom_site_fract_x
_atom_site_fract_y
_atom_site_fract_z
_atom_site_occupancy
Ac1 Ac 0.1763 0.3238 0.0000 1
Ac2 Ac 0.1762 0.3237 0.5000 1
Ac3 Ac 0.3238 0.8237 0.0000 1
Ac4 Ac 0.3237 0.8238 0.5000 1
Ac5 Ac 0.6762 0.1763 0.0000 1
Ac6 Ac 0.6763 0.1762 0.5000 1
Ac7 Ac 0.8237 0.6762 0.0000 1
Ac8 Ac 0.8238 0.6763 0.5000 1
Cd1 Cd 0.0000 0.0000 0.2491 1
Cd2 Cd 0.0000 0.0000 0.7509 1
Cd3 Cd 0.5000 0.5000 0.2509 1
Cd4 Cd 0.5000 0.5000 0.7491 1
Sn1 Sn 0.1268 0.6268 0.2500 1
Sn2 Sn 0.1268 0.6268 0.7500 1
Sn3 Sn 0.3732 0.1268 0.2500 1
Sn4 Sn 0.3732 0.1268 0.7500 1
Sn5 Sn 0.6268 0.8732 0.2500 1
Sn6 Sn 0.6268 0.8732 0.7500 1
Sn7 Sn 0.8732 0.3732 0.2500 1
Sn8 Sn 0.8732 0.3732 0.7500 1
```